(1)
For Mg3Hg4, a PBE-relaxed structure gives the theoretical PXRD pattern in this record (CuKα).

Top 12 peaks for 2θ = 10–80°, in order of rising 2θ:
Position (°2θ)  I/Imax
25.9  85
28.3  2
33.9  3
37.0  100
45.7  25
51.0  2
53.3  17
60.2  31
66.6  34
70.9  3
78.7  10
79.9  2

Structure:
```
data_Mg3Hg4
_space_group_name_H-M_alt 'P 1'
_space_group_IT_number 1
_cell_length_a 8.4152
_cell_length_b 8.4152
_cell_length_c 8.4152
_cell_angle_alpha 33.59
_cell_angle_beta 33.59
_cell_angle_gamma 33.59
loop_
_space_group_symop_operation_xyz
'x,y,z'
loop_
_atom_site_label
_atom_site_fract_x
_atom_site_fract_y
_atom_site_fract_z
Mg1 0.0000 0.0000 0.0000
Mg2 0.2512 0.2512 0.2512
Mg3 0.7488 0.7488 0.7488
Hg1 0.1297 0.1297 0.1297
Hg2 0.3817 0.3817 0.3817
Hg3 0.6183 0.6183 0.6183
Hg4 0.8703 0.8703 0.8703
```

(2)
For MgSc2SiN, a PBE-relaxed structure gives the theoretical PXRD pattern in this record (CuKα).

Top 12 peaks for 2θ = 10–80°, in order of rising 2θ:
Position (°2θ)  I/Imax
21.4  15
29.0  2
29.7  3
36.3  100
41.4  48
43.5  21
47.1  6
60.0  15
61.6  27
72.2  24
75.1  11
77.0  13

Structure:
```
data_MgSc2SiN
_space_group_name_H-M_alt 'P 1'
_space_group_IT_number 1
_cell_length_a 4.3602
_cell_length_b 4.3602
_cell_length_c 4.1605
_cell_angle_alpha 90.00
_cell_angle_beta 90.00
_cell_angle_gamma 90.00
loop_
_space_group_symop_operation_xyz
'x,y,z'
loop_
_atom_site_label
_atom_site_fract_x
_atom_site_fract_y
_atom_site_fract_z
Mg1 0.0000 0.0000 0.0000
Sc1 0.0000 0.5000 0.5000
Sc2 0.5000 0.0000 0.5000
Si1 0.5000 0.5000 0.0000
N1 0.0000 0.0000 0.5000
```